# Pb7Cl2O8
Calculated XRD peak list, copper Kα. Input: a structure optimized by DFT (GGA-PBE).

```
Pb7Cl2O8
1.0
5.9735 0.0000 0.0000
0.0000 20.3274 0.0000
-2.8373 0.0000 6.6040
Pb Cl O
14 4 16
Cartesian
-0.4884 2.8059 1.9632 Pb
-0.5446 6.8758 3.6095 Pb
0.6914 17.6661 1.0139 Pb
-0.9080 4.3761 6.3246 Pb
1.0027 14.3572 2.2778 Pb
-0.4180 10.1637 5.7400 Pb
0.7008 20.2040 3.3201 Pb
2.4354 10.0403 3.2839 Pb
3.5542 0.0000 0.8640 Pb
2.1335 4.1935 4.3263 Pb
4.0442 14.5398 0.2795 Pb
2.4448 7.5024 5.5901 Pb
3.6808 17.0396 2.9945 Pb
3.6246 12.9696 4.6408 Pb
-2.1362 19.0413 5.4892 Cl
0.8702 16.2814 4.5883 Cl
2.2660 6.1177 2.0158 Cl
5.2723 8.8776 1.1148 Cl
-0.7674 18.9106 2.0231 O
-2.0625 5.9632 5.1969 O
-2.4832 13.9636 6.4886 O
-0.7578 11.6931 4.1956 O
-0.1838 3.9190 3.7498 O
0.9928 1.3181 1.6959 O
2.1522 16.1483 1.3286 O
0.9548 8.7387 4.5005 O
2.1814 18.9024 2.1035 O
0.9840 5.9846 5.2755 O
2.1434 11.4818 4.9081 O
3.3200 14.0827 2.8542 O
3.8940 1.5294 2.4084 O
5.6193 3.7999 0.1155 O
5.1987 16.1269 1.4071 O
3.9036 8.7469 4.5810 O
```

Top 12 peaks for 2θ = 5–70°, sorted by position:
- 14.10 deg, I 78
- 21.05 deg, I 25
- 23.86 deg, I 52
- 25.78 deg, I 34
- 26.32 deg, I 34
- 26.90 deg, I 33
- 28.18 deg, I 100
- 30.25 deg, I 56
- 30.99 deg, I 35
- 33.74 deg, I 45
- 41.99 deg, I 23
- 43.46 deg, I 22

# Pb13Cl6O10
Calculated XRD peak list, copper Kα. Input: a structure optimized by DFT (GGA-PBE).

```
Pb13Cl6O10
1.0
8.1820 -3.5434 0.0000
8.1820 3.5434 0.0000
-3.2720 0.0000 23.5690
Pb Cl O
26 12 20
Cartesian
-0.7144 0.5436 14.9289 Pb
0.8628 0.6097 9.8233 Pb
5.7903 1.9754 4.9335 Pb
0.9216 -0.5436 3.1444 Pb
4.1519 0.7098 1.4761 Pb
4.1687 1.8095 23.2994 Pb
-0.7732 -0.6097 21.6078 Pb
5.7280 1.8679 17.6767 Pb
2.5362 0.4087 19.9573 Pb
7.2872 1.8095 12.0540 Pb
8.9376 1.9754 6.8510 Pb
2.5159 -0.7098 13.2606 Pb
4.1722 -0.4087 8.1728 Pb
8.9198 0.4087 15.3961 Pb
10.5760 0.7098 10.3084 Pb
4.1543 -1.9754 16.7179 Pb
5.8047 -1.8095 11.5149 Pb
10.5557 -0.4087 3.6117 Pb
7.3640 -1.8679 5.8922 Pb
13.8651 0.6097 1.9612 Pb
8.9232 -1.8095 0.2696 Pb
8.9400 -0.7098 22.0929 Pb
12.1703 0.5436 20.4245 Pb
7.3016 -1.9754 18.6355 Pb
12.2291 -0.6097 13.7457 Pb
13.8063 -0.5436 8.6401 Pb
2.1312 1.2074 5.8310 Cl
4.0317 1.1100 10.7549 Cl
0.4952 -1.2074 17.6155 Cl
7.2046 0.2708 3.1912 Cl
2.3957 -1.1100 22.5394 Cl
7.5234 0.2708 8.5933 Cl
5.5686 -0.2708 14.9757 Cl
10.6962 1.1100 1.0296 Cl
5.8874 -0.2708 20.3778 Cl
12.5967 1.2074 5.9535 Cl
9.0602 -1.1100 12.8141 Cl
10.9607 -1.2074 17.7380 Cl
-2.9169 0.0562 22.2003 O
-0.6524 0.0625 7.4730 O
-1.2810 -0.0562 10.4158 O
-0.3982 1.0928 23.1383 O
-2.2884 -0.0625 19.2575 O
2.9348 2.1959 21.2482 O
0.3781 1.0166 20.3541 O
1.2378 -1.0928 11.3538 O
8.5211 2.1959 14.1052 O
2.0141 -1.0166 8.5696 O
11.0778 1.0166 14.9994 O
4.5708 -2.1959 9.4637 O
11.8541 1.0928 12.2152 O
12.7138 -1.0166 3.2149 O
10.1571 -2.1959 2.3207 O
15.3803 0.0625 4.3115 O
13.4901 -1.0928 0.4307 O
14.3729 0.0562 13.1532 O
13.7443 -0.0625 16.0960 O
16.0089 -0.0562 1.3687 O
```

Top 12 peaks for 2θ = 5–70°, sorted by position:
- 24.90 deg, I 36
- 29.41 deg, I 64
- 29.62 deg, I 57
- 30.32 deg, I 48
- 30.70 deg, I 51
- 30.83 deg, I 66
- 31.04 deg, I 100
- 31.59 deg, I 37
- 32.21 deg, I 50
- 32.56 deg, I 66
- 42.14 deg, I 47
- 53.19 deg, I 58